No. 1
# AcHg3Au2
Simulated powder XRD pattern, Cu Kα (λ = 1.5418 Å). Input: a DFT-relaxed cell (PBE, Alexandria).
Kinematic intensities with the Lorentz-polarization factor, no thermal factor.

Atomic structure:
```
AcHg3Au2
1.0
4.515 0.000 0.000
0.000 9.152 0.000
-2.246 -4.575 7.620
Ac Hg Au
2 6 4
Direct
0.136 0.136 0.272
0.864 0.864 0.728
0.000 0.347 0.001
0.000 0.653 0.999
0.332 0.137 0.665
0.332 0.528 0.664
0.668 0.472 0.336
0.668 0.863 0.335
0.209 0.708 0.417
0.500 0.150 0.000
0.500 0.850 0.000
0.791 0.292 0.583
```

Principal peaks in the range 5° ≤ 2θ ≤ 70°, low angle first:
h k l, two_theta, intensity
1 -2 0, 28.38, 415
1 1 1, 32.26, 940
1 2 -3, 32.98, 1000
0 0 3, 35.34, 399
1 -3 2, 37.49, 846
2 0 -1, 39.93, 539
2 0 -4, 54.37, 237
1 3 -6, 60.89, 315


No. 2
# Ac3Hg7Au2
Simulated powder XRD pattern, Cu Kα (λ = 1.5418 Å). Input: a DFT-relaxed cell (PBE, Alexandria).
Kinematic intensities with the Lorentz-polarization factor, no thermal factor.

Atomic structure:
```
Ac3Hg7Au2
1.0
4.953 0.000 0.000
0.000 4.417 0.000
-2.411 0.000 15.496
Ac Hg Au
3 7 2
Direct
0.000 0.000 0.000
0.326 0.500 0.655
0.674 0.500 0.345
0.081 0.500 0.162
0.230 0.000 0.458
0.419 0.000 0.839
0.500 0.500 0.000
0.581 0.000 0.161
0.770 0.000 0.542
0.919 0.500 0.838
0.140 0.000 0.280
0.860 0.000 0.720
```

Principal peaks in the range 5° ≤ 2θ ≤ 70°, low angle first:
h k l, two_theta, intensity
1 1 -2, 28.42, 148
1 1 2, 30.72, 1000
1 1 -4, 33.90, 549
0 0 6, 34.74, 146
2 0 -1, 36.28, 384
0 2 0, 40.84, 332
2 2 -1, 55.78, 250
1 3 2, 68.14, 107


No. 3
# Ac2HgAu8
Simulated powder XRD pattern, Cu Kα (λ = 1.5418 Å). Input: a DFT-relaxed cell (PBE, Alexandria).
Kinematic intensities with the Lorentz-polarization factor, no thermal factor.

Atomic structure:
```
Ac2HgAu8
1.0
4.848 0.000 0.000
0.001 6.952 0.000
2.062 3.451 7.766
Ac Hg Au
2 1 8
Direct
0.092 0.131 0.239
0.908 0.869 0.761
0.000 0.500 0.500
0.141 0.692 0.118
0.369 0.112 0.856
0.369 0.531 0.855
0.497 0.213 0.500
0.503 0.787 0.500
0.631 0.469 0.145
0.631 0.888 0.144
0.859 0.308 0.882
```

Principal peaks in the range 5° ≤ 2θ ≤ 70°, low angle first:
h k l, two_theta, intensity
0 1 3, 31.55, 418
-1 2 1, 32.06, 1000
1 2 2, 32.38, 289
1 1 3, 32.86, 248
0 0 3, 34.65, 434
2 0 1, 37.13, 483
0 3 3, 42.78, 191
3 -2 0, 63.57, 225


No. 4
# Ac2InHgAu6
Simulated powder XRD pattern, Cu Kα (λ = 1.5418 Å). Input: a DFT-relaxed cell (PBE, Alexandria).
Kinematic intensities with the Lorentz-polarization factor, no thermal factor.

Atomic structure:
```
Ac2InHgAu6
1.0
4.296 0.000 0.000
-0.027 7.903 0.000
-0.013 -3.267 7.210
Ac In Hg Au
2 1 1 6
Direct
0.000 0.237 0.262
0.000 0.763 0.738
0.500 0.500 0.000
0.500 0.000 0.500
0.000 0.257 0.757
0.000 0.743 0.243
0.499 0.411 0.617
0.499 0.885 0.091
0.501 0.115 0.909
0.501 0.589 0.383
```

Principal peaks in the range 5° ≤ 2θ ≤ 70°, low angle first:
h k l, two_theta, intensity
1 -2 0, 32.37, 890
1 2 0, 32.50, 881
1 2 -2, 34.12, 1000
1 1 -3, 40.22, 372
2 0 0, 42.12, 876
0 4 -2, 46.11, 349
1 0 -4, 55.20, 249
0 4 -4, 55.32, 288


No. 5
# Li3Ac2HgAu4
Simulated powder XRD pattern, Cu Kα (λ = 1.5418 Å). Input: a DFT-relaxed cell (PBE, Alexandria).
Kinematic intensities with the Lorentz-polarization factor, no thermal factor.

Atomic structure:
```
Li3Ac2HgAu4
1.0
4.500 0.000 0.000
0.000 4.500 0.000
0.000 0.000 11.224
Li Ac Hg Au
3 2 1 4
Direct
0.000 0.000 0.000
0.000 0.500 0.606
0.500 0.000 0.394
0.000 0.500 0.263
0.500 0.000 0.737
0.500 0.500 0.000
0.000 0.000 0.500
0.000 0.500 0.833
0.500 0.000 0.167
0.500 0.500 0.500
```

Principal peaks in the range 5° ≤ 2θ ≤ 70°, low angle first:
h k l, two_theta, intensity
1 0 2, 25.37, 246
1 0 3, 31.09, 167
1 1 2, 32.34, 1000
2 0 0, 40.07, 393
1 0 5, 45.13, 170
2 2 0, 57.97, 138
2 1 5, 61.92, 129
3 1 2, 67.96, 245


No. 6
# Li2AcHgAu2
Simulated powder XRD pattern, Cu Kα (λ = 1.5418 Å). Input: a DFT-relaxed cell (PBE, Alexandria).
Kinematic intensities with the Lorentz-polarization factor, no thermal factor.

Atomic structure:
```
Li2AcHgAu2
1.0
4.651 0.000 0.000
-2.325 4.028 0.000
0.000 0.000 7.107
Li Ac Hg Au
2 1 1 2
Direct
0.333 0.667 0.141
0.667 0.333 0.859
0.000 0.000 0.500
0.000 0.000 0.000
0.333 0.667 0.763
0.667 0.333 0.237
```

Principal peaks in the range 5° ≤ 2θ ≤ 70°, low angle first:
h k l, two_theta, intensity
1 0 0, 22.07, 175
0 1 1, 25.42, 600
1 0 2, 33.63, 1000
1 1 0, 38.72, 614
0 1 3, 44.36, 141
0 2 2, 52.21, 295
1 1 4, 66.19, 236
2 1 2, 66.86, 284